(1)
Simulated powder diffractogram
Compound: Au2IBr
Radiation: Cu Kα, 1.54184 Å
Structure: a cell relaxed with PBE
Lines closer than 0.1° are merged.

Largest 10 diffraction maxima, in order of falling intensity, 2θ = 10–90°:
| Position (°2θ) | I/Imax | h k l |
| --- | --- | --- |
| 13.97 | 100 | 0 0 2 |
| 44.28 | 66 | 2 2 2 |
| 29.99 | 66 | 0 2 1 |
| 30.17 | 56 | 2 0 1 |
| 51.16 | 47 | 2 2 4 |
| 36.35 | 46 | 2 0 3 |
| 24.94 | 43 | 1 1 2 |
| 36.20 | 30 | 0 2 3 |
| 42.80 | 26 | 0 0 6 |
| 46.48 | 25 | 0 2 5 |

Cell and atoms:
```
data_Au2IBr
_chemical_formula_sum 'Au8 I4 Br4'
_cell_length_a 6.093
_cell_length_b 6.132
_cell_length_c 12.677
_cell_angle_alpha 90.00
_cell_angle_beta 90.00
_cell_angle_gamma 90.00
_symmetry_space_group_name_H-M 'C m m e'
_symmetry_Int_Tables_number 67
_symmetry_space_group_name_Hall '-C 2a 2'
loop_
_atom_site_label
_atom_site_fract_x
_atom_site_fract_y
_atom_site_fract_z
_atom_site_occupancy
Au1 0.000 0.000 0.000 1
Au2 0.250 0.250 0.500 1
I1 0.000 0.250 0.330 1
Br1 0.000 0.250 0.846 1
```

---

(2)
Simulated powder diffractogram
Compound: Au4I3Br
Radiation: Cu Kα, 1.54184 Å
Structure: a cell relaxed with PBE
Lines closer than 0.1° are merged.

Largest 10 diffraction maxima, in order of falling intensity, 2θ = 10–90°:
| Position (°2θ) | I/Imax | h k l |
| --- | --- | --- |
| 13.52 | 100 | 0 0 2 |
| 43.66 | 64 | 2 2 2 |
| 29.56 | 61 | 0 2 1 |
| 29.83 | 56 | 2 0 1 |
| 24.48 | 54 | 1 1 2 |
| 50.18 | 52 | 2 2 4 |
| 35.70 | 41 | 2 0 3 |
| 41.34 | 33 | 0 0 6 |
| 35.47 | 33 | 0 2 3 |
| 45.28 | 22 | 0 2 5 |

Cell and atoms:
```
data_Au4I3Br
_chemical_formula_sum 'Au8 I6 Br2'
_cell_length_a 6.153
_cell_length_b 6.211
_cell_length_c 13.103
_cell_angle_alpha 90.00
_cell_angle_beta 90.00
_cell_angle_gamma 90.00
_symmetry_space_group_name_H-M 'C m m 2'
_symmetry_Int_Tables_number 35
_symmetry_space_group_name_Hall 'C 2 -2'
loop_
_atom_site_label
_atom_site_fract_x
_atom_site_fract_y
_atom_site_fract_z
_atom_site_occupancy
Au1 0.000 0.245 0.000 1
Au2 0.249 0.500 0.493 1
I1 0.000 0.000 0.656 1
I2 0.000 0.500 0.330 1
I3 0.000 0.500 0.842 1
Br1 0.000 0.000 0.152 1
```

---

(3)
Simulated powder diffractogram
Compound: KAuI2Br
Radiation: Cu Kα, 1.54184 Å
Structure: a cell relaxed with PBE
Lines closer than 0.1° are merged.

Largest 10 diffraction maxima, in order of falling intensity, 2θ = 10–90°:
| Position (°2θ) | I/Imax | h k l |
| --- | --- | --- |
| 15.18 | 100 | 0 0 2 |
| 30.56 | 53 | 2 2 0 |
| 34.30 | 39 | 2 2 2 |
| 43.88 | 34 | 2 2 4 |
| 21.53 | 25 | 1 1 2 |
| 30.71 | 24 | 0 0 4 |
| 43.77 | 19 | 4 0 0 |
| 54.42 | 17 | 4 0 4 |
| 46.59 | 14 | 4 0 2 |
| 72.26 | 14 | 6 2 0 |

Cell and atoms:
```
data_KAuI2Br
_chemical_formula_sum 'K4 Au4 I8 Br4'
_cell_length_a 8.273
_cell_length_b 8.273
_cell_length_c 11.644
_cell_angle_alpha 90.00
_cell_angle_beta 90.00
_cell_angle_gamma 90.00
_symmetry_space_group_name_H-M 'I 4/m m m'
_symmetry_Int_Tables_number 139
_symmetry_space_group_name_Hall '-I 4 2'
loop_
_atom_site_label
_atom_site_fract_x
_atom_site_fract_y
_atom_site_fract_z
_atom_site_occupancy
K1 0.000 0.500 0.250 1
Au1 0.000 0.000 0.000 1
Au2 0.000 0.000 0.500 1
I1 0.232 0.232 0.000 1
Br1 0.000 0.000 0.288 1
```

---

(4)
Simulated powder diffractogram
Compound: RbAu2IBr2
Radiation: Cu Kα, 1.54184 Å
Structure: a cell relaxed with PBE
Lines closer than 0.1° are merged.

Largest 10 diffraction maxima, in order of falling intensity, 2θ = 10–90°:
| Position (°2θ) | I/Imax | h k l |
| --- | --- | --- |
| 11.79 | 100 | 1 0 0 |
| 33.82 | 65 | 3 0 -1 |
| 12.86 | 59 | 1 0 -1 |
| 10.34 | 47 | 0 0 1 |
| 29.60 | 46 | 1 0 -3 |
| 39.83 | 40 | 1 0 -4 |
| 45.96 | 33 | 4 0 -1 |
| 39.11 | 26 | 2 2 -1 |
| 34.21 | 25 | 1 2 -1 |
| 22.51 | 25 | 2 0 -1 |

Cell and atoms:
```
data_RbAu2IBr2
_chemical_formula_sum 'Rb2 Au4 I2 Br4'
_cell_length_a 7.953
_cell_length_b 5.670
_cell_length_c 9.067
_cell_angle_alpha 90.00
_cell_angle_beta 109.28
_cell_angle_gamma 90.00
_symmetry_space_group_name_H-M 'P 1 21/m 1'
_symmetry_Int_Tables_number 11
_symmetry_space_group_name_Hall '-P 2yb'
loop_
_atom_site_label
_atom_site_fract_x
_atom_site_fract_y
_atom_site_fract_z
_atom_site_occupancy
Rb1 0.155 0.250 0.356 1
Au1 0.443 0.502 0.839 1
I1 0.235 0.750 0.069 1
Br1 0.110 0.250 0.724 1
Br2 0.380 0.750 0.573 1
```

---

Please write out number 3 again, unchanged.
Simulated powder diffractogram
Compound: KAuI2Br
Radiation: Cu Kα, 1.54184 Å
Structure: a cell relaxed with PBE
Lines closer than 0.1° are merged.

Largest 10 diffraction maxima, in order of falling intensity, 2θ = 10–90°:
| Position (°2θ) | I/Imax | h k l |
| --- | --- | --- |
| 15.18 | 100 | 0 0 2 |
| 30.56 | 53 | 2 2 0 |
| 34.30 | 39 | 2 2 2 |
| 43.88 | 34 | 2 2 4 |
| 21.53 | 25 | 1 1 2 |
| 30.71 | 24 | 0 0 4 |
| 43.77 | 19 | 4 0 0 |
| 54.42 | 17 | 4 0 4 |
| 46.59 | 14 | 4 0 2 |
| 72.26 | 14 | 6 2 0 |

Cell and atoms:
```
data_KAuI2Br
_chemical_formula_sum 'K4 Au4 I8 Br4'
_cell_length_a 8.273
_cell_length_b 8.273
_cell_length_c 11.644
_cell_angle_alpha 90.00
_cell_angle_beta 90.00
_cell_angle_gamma 90.00
_symmetry_space_group_name_H-M 'I 4/m m m'
_symmetry_Int_Tables_number 139
_symmetry_space_group_name_Hall '-I 4 2'
loop_
_atom_site_label
_atom_site_fract_x
_atom_site_fract_y
_atom_site_fract_z
_atom_site_occupancy
K1 0.000 0.500 0.250 1
Au1 0.000 0.000 0.000 1
Au2 0.000 0.000 0.500 1
I1 0.232 0.232 0.000 1
Br1 0.000 0.000 0.288 1
```